# 1
Starting from a GGA-PBE-relaxed structure, the powder XRD pattern of Na3TlI6 was calculated for Cu Kα (weighted mean of Kα1 and Kα2).

Structural model:
Cell lengths 12.198, 12.198, 12.198 Å; angles 90.00, 90.00, 90.00 degrees
Space group Fm-3m (No. 225)
Symmetry-distinct sites (fractional):
Na1 0.000 0.000 0.000 x4
Na2 0.250 0.250 0.250 x8
Tl1 0.000 0.000 0.500 x4
I1 0.000 0.000 0.254 x24

The 10 most intense peaks (15 to 90 degrees two-theta), low angle first:
24.20 deg, I = 17, hkl 3 1 1
25.29 deg, I = 62, hkl 2 2 2
29.29 deg, I = 100, hkl 4 0 0
32.84 deg, I = 51, hkl 4 2 0
41.90 deg, I = 75, hkl 4 4 0
44.57 deg, I = 27, hkl 6 0 0
49.57 deg, I = 28, hkl 6 2 2
51.94 deg, I = 26, hkl 4 4 4
68.84 deg, I = 33, hkl 8 4 0
76.52 deg, I = 25, hkl 8 4 4



# 2
Starting from a GGA-PBE-relaxed structure, the powder XRD pattern of BaAg2O2 was calculated for Cu Kα (weighted mean of Kα1 and Kα2).

Structural model:
Cell lengths 6.001, 6.001, 10.900 Å; angles 90.00, 90.00, 90.00 degrees
Space group I4_1/amd (No. 141, origin choice 2)
Symmetry-distinct sites (fractional):
Ba1 0.000 0.250 0.375 x4
Ag1 0.000 0.000 0.000 x8
O1 0.000 0.250 0.135 x8

The 10 most intense peaks (15 to 90 degrees two-theta), low angle first:
26.62 deg, I = 21, hkl 1 1 2
28.72 deg, I = 76, hkl 1 0 3
29.77 deg, I = 24, hkl 2 0 0
34.11 deg, I = 61, hkl 2 0 2
34.41 deg, I = 100, hkl 2 1 1
44.20 deg, I = 26, hkl 1 0 5
44.93 deg, I = 14, hkl 2 0 4
54.84 deg, I = 43, hkl 2 2 4
55.88 deg, I = 24, hkl 3 2 1
61.84 deg, I = 15, hkl 4 0 0



# 3
Starting from a GGA-PBE-relaxed structure, the powder XRD pattern of Ba2CoS3 was calculated for Cu Kα (weighted mean of Kα1 and Kα2).

Structural model:
Cell lengths 12.164, 4.213, 12.431 Å; angles 90.00, 90.00, 90.00 degrees
Space group Pnma (No. 62)
Symmetry-distinct sites (fractional):
Ba1 0.011 0.250 0.174 x4
Ba2 0.173 0.250 0.522 x4
Co1 0.245 0.750 0.303 x4
S1 0.065 0.750 0.360 x4
S2 0.139 0.250 0.946 x4
S3 0.228 0.750 0.720 x4

The 10 most intense peaks (15 to 90 degrees two-theta), low angle first:
22.67 deg, I = 66, hkl 1 0 3
23.07 deg, I = 77, hkl 3 0 1
26.59 deg, I = 88, hkl 1 1 2
26.72 deg, I = 82, hkl 2 1 1
29.53 deg, I = 63, hkl 2 1 2
31.16 deg, I = 100, hkl 1 1 3
32.35 deg, I = 38, hkl 2 0 4
32.79 deg, I = 61, hkl 4 0 2
39.31 deg, I = 42, hkl 4 1 2
42.94 deg, I = 53, hkl 0 2 0